# 1
Diffraction record for Sr4SO3. The powder diffraction line list is theoretical, not measured: it uses a cell relaxed with PBE and Cu Kα.
Peak positions follow from Bragg's law for the DFT cell and can differ from measured ones.

Peak list (8 most intense, 2θ = 5–70°, sorted by position)
16.2 deg, I 1
22.9 deg, I 1
28.2 deg, I 73
32.6 deg, I 100
46.8 deg, I 69
55.6 deg, I 35
58.3 deg, I 23
68.4 deg, I 11

Structure:
```
data_Sr4SO3
_chemical_formula_sum 'Sr4 S1 O3'
_symmetry_space_group_name_H-M 'P m -3 m'
_symmetry_Int_Tables_number 221
_symmetry_space_group_name_Hall '-P 4 2 3'
_cell_length_a 5.4855
_cell_length_b 5.4855
_cell_length_c 5.4855
_cell_angle_alpha 90.00
_cell_angle_beta 90.00
_cell_angle_gamma 90.00
loop_
_atom_site_label
_atom_site_type_symbol
_atom_site_fract_x
_atom_site_fract_y
_atom_site_fract_z
Sr1 Sr 0.0000 0.0000 0.0000
Sr2 Sr 0.0000 0.5000 0.5000
S1 S 0.5000 0.5000 0.5000
O1 O 0.0000 0.0000 0.5000
```

---

# 2
Diffraction record for GdBi2ClO4. The powder diffraction line list is theoretical, not measured: it uses a cell relaxed with PBE and Cu Kα.
Peak positions follow from Bragg's law for the DFT cell and can differ from measured ones.

Peak list (10 most intense, 2θ = 5–70°, sorted by position)
19.6 deg, I 10
22.7 deg, I 14
24.7 deg, I 19
30.1 deg, I 100
32.3 deg, I 36
44.4 deg, I 18
46.3 deg, I 22
52.1 deg, I 22
55.9 deg, I 16
56.2 deg, I 35

Structure:
```
data_GdBi2ClO4
_chemical_formula_sum 'Gd1 Bi2 Cl1 O4'
_symmetry_space_group_name_H-M 'P 4/m m m'
_symmetry_Int_Tables_number 123
_symmetry_space_group_name_Hall '-P 4 2'
_cell_length_a 3.9215
_cell_length_b 3.9215
_cell_length_c 9.0586
_cell_angle_alpha 90.00
_cell_angle_beta 90.00
_cell_angle_gamma 90.00
loop_
_atom_site_label
_atom_site_type_symbol
_atom_site_fract_x
_atom_site_fract_y
_atom_site_fract_z
Gd1 Gd 0.0000 0.0000 0.0000
Bi1 Bi 0.5000 0.5000 0.2804
Cl1 Cl 0.0000 0.0000 0.5000
O1 O 0.0000 0.5000 0.1573
```